This entry pairs a crystal structure of Be13Re with its computed powder X-ray diffraction pattern. Radiation: a wavelength of 1.5418 Å. Structure: a DFT-relaxed cell (PBE, the Materials Project).

Crystal structure
Lattice parameters (Å, degrees): 13.5281 13.5281 13.5281 90.00 90.00 90.00
Space group Fd-3m (No. 227, origin choice 2)
Asymmetric unit:
Be 0.0038 0.0038 0.1196 [96 per cell]
Be 0.0714 0.0714 0.3763 [96 per cell]
Be 0.1250 0.1250 0.1250 [8 per cell]
Be 0.1250 0.1250 0.6250 [8 per cell]
Re 0.0000 0.0000 0.5000 [16 per cell]

Peak list (6 most intense, 10° ≤ 2θ ≤ 90°, low angle first)
2theta, Rel. int., index
11.33, 79, 1 1 1
21.79, 80, 3 1 1
22.77, 100, 2 2 2
26.35, 44, 4 0 0
28.77, 45, 3 3 1
44.42, 50, 6 2 2